Entry 1:
Starting from DFT lattice parameters and positions (PBE), the PXRD pattern of Hf2Zr8In3 was simulated for Cu Ka.

Peak list (10 most intense, 2θ = 15–90°, in order of rising 2θ)
2θ (°)  I_rel
30.7  676
31.9  349
35.2  419
35.8  1000
36.1  586
38.4  370
41.0  396
58.0  487
64.0  338
75.8  236

Structure:
```
data_Hf2Zr8In3
_chemical_formula_sum 'Hf6 Zr24 In9'
_cell_length_a 5.8198
_cell_length_b 5.8198
_cell_length_c 31.8409
_cell_angle_alpha 90.00
_cell_angle_beta 90.00
_cell_angle_gamma 120.00
_symmetry_space_group_name_H-M 'R -3 m'
_symmetry_Int_Tables_number 166
_symmetry_space_group_name_Hall '-R 3 2"'
loop_
_atom_site_label
_atom_site_type_symbol
_atom_site_fract_x
_atom_site_fract_y
_atom_site_fract_z
_atom_site_occupancy
Hf1 Hf 0.0000 0.0000 0.1378 1
Zr1 Zr 0.0000 0.0000 0.2223 1
Zr2 Zr 0.0052 0.5026 0.7259 1
In1 In 0.0000 0.0000 0.3129 1
In2 In 0.0000 0.0000 0.5000 1
```

Entry 2:
Starting from DFT lattice parameters and positions (PBE), the PXRD pattern of Tb3Nd3Sm2 was simulated for Cu Ka.

Peak list (10 most intense, 2θ = 15–90°, in order of rising 2θ)
2θ (°)  I_rel
28.1  235
30.6  251
32.1  1000
42.0  159
49.7  196
55.4  213
59.5  228
60.4  164
82.0  92
84.9  85

Structure:
```
data_Tb3Nd3Sm2
_chemical_formula_sum 'Tb6 Nd6 Sm4'
_cell_length_a 5.835
_cell_length_b 14.690
_cell_length_c 6.347
_cell_angle_alpha 90.00
_cell_angle_beta 90.00
_cell_angle_gamma 90.00
_symmetry_space_group_name_H-M 'P m m n'
_symmetry_Int_Tables_number 59
loop_
_symmetry_equiv_pos_as_xyz
'x,y,z'
'-x,-y,-z'
'-x+1/2,-y+1/2,z'
'x+1/2,y+1/2,-z'
'x+1/2,-y,-z'
'-x+1/2,y,z'
'-x,y+1/2,-z'
'x,-y+1/2,z'
loop_
_atom_site_label
_atom_site_type_symbol
_atom_site_fract_x
_atom_site_fract_y
_atom_site_fract_z
_atom_site_occupancy
Tb1 Tb 0.250 0.001 0.165 1
Tb2 Tb 0.250 0.250 0.166 1
Nd1 Nd 0.250 0.124 0.665 1
Nd2 Nd 0.250 0.750 0.166 1
Sm1 Sm 0.250 0.625 0.668 1
```

Entry 3:
Starting from DFT lattice parameters and positions (PBE), the PXRD pattern of TbB6Ir6 was simulated for Cu Ka.

Peak list (10 most intense, 2θ = 15–90°, in order of rising 2θ)
2θ (°)  I_rel
23.4  496
31.8  293
32.4  188
36.9  573
38.3  1000
44.1  231
45.4  402
46.2  300
67.4  195
87.3  209

Structure:
```
data_TbB6Ir6
_chemical_formula_sum 'Tb2 B12 Ir12'
_cell_length_a 4.874
_cell_length_b 7.616
_cell_length_c 8.044
_cell_angle_alpha 90.00
_cell_angle_beta 90.00
_cell_angle_gamma 90.00
_symmetry_space_group_name_H-M 'I m m m'
_symmetry_Int_Tables_number 71
_symmetry_space_group_name_Hall '-I 2 2'
loop_
_atom_site_label
_atom_site_type_symbol
_atom_site_fract_x
_atom_site_fract_y
_atom_site_fract_z
_atom_site_occupancy
Tb1 Tb 0.000 0.000 0.000 1
B1 B 0.000 0.266 0.500 1
B2 B 0.250 0.250 0.250 1
Ir1 Ir 0.000 0.000 0.340 1
Ir2 Ir 0.000 0.332 0.000 1
Ir3 Ir 0.000 0.500 0.317 1
```

Entry 4:
Starting from DFT lattice parameters and positions (PBE), the PXRD pattern of Pm5Sm2Sc2 was simulated for Cu Ka.

Peak list (10 most intense, 2θ = 15–90°, in order of rising 2θ)
2θ (°)  I_rel
27.2  464
31.3  179
31.6  351
32.2  1000
32.5  421
40.0  110
45.5  138
54.4  200
57.4  124
65.4  134

Structure:
```
data_Pm5Sm2Sc2
_chemical_formula_sum 'Pm20 Sm8 Sc8'
_cell_length_a 5.562
_cell_length_b 20.904
_cell_length_c 10.003
_cell_angle_alpha 90.00
_cell_angle_beta 90.00
_cell_angle_gamma 90.00
_symmetry_space_group_name_H-M 'I m m a'
_symmetry_Int_Tables_number 74
_symmetry_space_group_name_Hall '-I 2b 2'
loop_
_atom_site_label
_atom_site_type_symbol
_atom_site_fract_x
_atom_site_fract_y
_atom_site_fract_z
_atom_site_occupancy
Pm1 Pm 0.000 0.110 0.137 1
Pm2 Pm 0.000 0.158 0.629 1
Pm3 Pm 0.000 0.250 0.339 1
Sm1 Sm 0.000 0.000 0.500 1
Sm2 Sm 0.000 0.250 0.944 1
Sc1 Sc 0.000 0.046 0.838 1
```

Entry 5:
Starting from DFT lattice parameters and positions (PBE), the PXRD pattern of Pr3Sm3Cd was simulated for Cu Ka.

Peak list (10 most intense, 2θ = 15–90°, in order of rising 2θ)
2θ (°)  I_rel
28.3  242
31.3  249
32.4  1000
42.7  158
50.1  187
56.4  205
60.2  213
60.9  151
82.6  119
86.6  79

Structure:
```
data_Pr3Sm3Cd
_chemical_formula_sum 'Pr6 Sm6 Cd2'
_cell_length_a 9.639
_cell_length_b 5.712
_cell_length_c 9.643
_cell_angle_alpha 90.00
_cell_angle_beta 119.97
_cell_angle_gamma 90.00
_symmetry_space_group_name_H-M 'P 1 21/m 1'
_symmetry_Int_Tables_number 11
loop_
_symmetry_equiv_pos_as_xyz
'x,y,z'
'-x,-y,-z'
'-x,y+1/2,-z'
'x,-y+1/2,z'
loop_
_atom_site_label
_atom_site_type_symbol
_atom_site_fract_x
_atom_site_fract_y
_atom_site_fract_z
_atom_site_occupancy
Pr1 Pr 0.024 0.250 0.131 1
Pr2 Pr 0.131 0.750 0.608 1
Pr3 Pr 0.392 0.750 0.024 1
Sm1 Sm 0.259 0.750 0.319 1
Sm2 Sm 0.319 0.250 0.560 1
Sm3 Sm 0.440 0.250 0.259 1
Cd1 Cd 0.167 0.250 0.834 1
```

Entry 6:
Starting from DFT lattice parameters and positions (PBE), the PXRD pattern of Sm12InCo5 was simulated for Cu Ka.

Peak list (10 most intense, 2θ = 15–90°, in order of rising 2θ)
2θ (°)  I_rel
28.3  294
29.0  372
29.2  386
31.7  1000
34.0  601
34.3  518
34.6  527
53.9  218
55.2  263
58.6  317

Structure:
```
data_Sm12InCo5
_chemical_formula_sum 'Sm24 In2 Co10'
_cell_length_a 9.657
_cell_length_b 9.725
_cell_length_c 9.989
_cell_angle_alpha 90.00
_cell_angle_beta 90.00
_cell_angle_gamma 90.00
_symmetry_space_group_name_H-M 'I m m m'
_symmetry_Int_Tables_number 71
_symmetry_space_group_name_Hall '-I 2 2'
loop_
_atom_site_label
_atom_site_type_symbol
_atom_site_fract_x
_atom_site_fract_y
_atom_site_fract_z
_atom_site_occupancy
Sm1 Sm 0.000 0.191 0.202 1
Sm2 Sm 0.194 0.500 0.185 1
Sm3 Sm 0.202 0.314 0.500 1
In1 In 0.000 0.000 0.500 1
Co1 Co 0.000 0.000 0.000 1
Co2 Co 0.000 0.381 0.000 1
Co3 Co 0.000 0.500 0.388 1
```

Entry 7:
Starting from DFT lattice parameters and positions (PBE), the PXRD pattern of Tb3Sm7Th was simulated for Cu Ka.

Peak list (10 most intense, 2θ = 15–90°, in order of rising 2θ)
2θ (°)  I_rel
31.5  1000
31.7  181
32.1  328
32.4  631
45.6  120
45.8  157
52.0  104
56.9  120
57.4  140
62.4  195

Structure:
```
data_Tb3Sm7Th
_chemical_formula_sum 'Tb6 Sm14 Th2'
_cell_length_a 7.040
_cell_length_b 11.145
_cell_length_c 10.162
_cell_angle_alpha 90.00
_cell_angle_beta 109.97
_cell_angle_gamma 90.00
_symmetry_space_group_name_H-M 'P 1 21/m 1'
_symmetry_Int_Tables_number 11
loop_
_symmetry_equiv_pos_as_xyz
'x,y,z'
'-x,-y,-z'
'-x,y+1/2,-z'
'x,-y+1/2,z'
loop_
_atom_site_label
_atom_site_type_symbol
_atom_site_fract_x
_atom_site_fract_y
_atom_site_fract_z
_atom_site_occupancy
Tb1 Tb 0.000 0.000 0.000 1
Tb2 Tb 0.244 0.250 0.474 1
Tb3 Tb 0.273 0.750 0.520 1
Sm1 Sm 0.096 0.043 0.681 1
Sm2 Sm 0.164 0.750 0.824 1
Sm3 Sm 0.301 0.250 0.102 1
Sm4 Sm 0.348 0.750 0.174 1
Sm5 Sm 0.412 0.013 0.327 1
Th1 Th 0.500 0.000 0.000 1
```

Entry 8:
Starting from DFT lattice parameters and positions (PBE), the PXRD pattern of AcZn2SnPt was simulated for Cu Ka.

Peak list (10 most intense, 2θ = 15–90°, in order of rising 2θ)
2θ (°)  I_rel
28.2  275
30.9  402
31.2  328
32.5  1000
40.0  300
40.8  284
44.9  207
45.0  206
52.0  194
58.4  199

Structure:
```
data_AcZn2SnPt
_chemical_formula_sum 'Ac2 Zn4 Sn2 Pt2'
_cell_length_a 4.427
_cell_length_b 4.510
_cell_length_c 11.297
_cell_angle_alpha 90.00
_cell_angle_beta 90.00
_cell_angle_gamma 90.00
_symmetry_space_group_name_H-M 'I m m 2'
_symmetry_Int_Tables_number 44
loop_
_symmetry_equiv_pos_as_xyz
'x,y,z'
'-x,-y,z'
'-x,y,z'
'x,-y,z'
'x+1/2,y+1/2,z+1/2'
'-x+1/2,-y+1/2,z+1/2'
'-x+1/2,y+1/2,z+1/2'
'x+1/2,-y+1/2,z+1/2'
loop_
_atom_site_label
_atom_site_type_symbol
_atom_site_fract_x
_atom_site_fract_y
_atom_site_fract_z
_atom_site_occupancy
Ac1 Ac 0.000 0.000 0.000 1
Zn1 Zn 0.000 0.000 0.391 1
Zn2 Zn 0.000 0.500 0.247 1
Sn1 Sn 0.000 0.500 0.750 1
Pt1 Pt 0.000 0.000 0.615 1
```

Entry 9:
Starting from DFT lattice parameters and positions (PBE), the PXRD pattern of Na3PmHg7 was simulated for Cu Ka.

Peak list (10 most intense, 2θ = 15–90°, in order of rising 2θ)
2θ (°)  I_rel
24.6  402
25.1  486
32.4  682
34.8  1000
35.2  494
35.8  423
37.2  348
41.0  317
63.2  368
67.4  242

Structure:
```
data_Na3PmHg7
_chemical_formula_sum 'Na12 Pm4 Hg28'
_cell_length_a 3.584
_cell_length_b 25.433
_cell_length_c 13.198
_cell_angle_alpha 90.00
_cell_angle_beta 90.00
_cell_angle_gamma 90.00
_symmetry_space_group_name_H-M 'C m c m'
_symmetry_Int_Tables_number 63
_symmetry_space_group_name_Hall '-C 2c 2'
loop_
_atom_site_label
_atom_site_type_symbol
_atom_site_fract_x
_atom_site_fract_y
_atom_site_fract_z
_atom_site_occupancy
Na1 Na 0.000 0.146 0.082 1
Na2 Na 0.000 0.170 0.750 1
Pm1 Pm 0.000 0.018 0.750 1
Hg1 Hg 0.000 0.280 0.078 1
Hg2 Hg 0.000 0.295 0.750 1
Hg3 Hg 0.000 0.404 0.111 1
Hg4 Hg 0.000 0.459 0.587 1
```

Entry 10:
Starting from DFT lattice parameters and positions (PBE), the PXRD pattern of Ti3Ga5 was simulated for Cu Ka.

Peak list (10 most intense, 2θ = 15–90°, in order of rising 2θ)
2θ (°)  I_rel
39.2  1000
44.5  161
45.3  166
46.9  150
65.4  96
67.2  96
78.3  100
79.5  114
81.8  105
84.2  92

Structure:
```
data_Ti3Ga5
_chemical_formula_sum 'Ti3 Ga5'
_cell_length_a 3.877
_cell_length_b 4.003
_cell_length_c 8.148
_cell_angle_alpha 90.00
_cell_angle_beta 90.00
_cell_angle_gamma 90.00
_symmetry_space_group_name_H-M 'P m m m'
_symmetry_Int_Tables_number 47
loop_
_symmetry_equiv_pos_as_xyz
'x,y,z'
'-x,-y,-z'
'-x,-y,z'
'x,y,-z'
'x,-y,-z'
'-x,y,z'
'-x,y,-z'
'x,-y,z'
loop_
_atom_site_label
_atom_site_type_symbol
_atom_site_fract_x
_atom_site_fract_y
_atom_site_fract_z
_atom_site_occupancy
Ti1 Ti 0.000 0.000 0.000 1
Ti2 Ti 0.500 0.000 0.269 1
Ga1 Ga 0.000 0.000 0.500 1
Ga2 Ga 0.000 0.500 0.234 1
Ga3 Ga 0.500 0.500 0.000 1
Ga4 Ga 0.500 0.500 0.500 1
```

Entry 11:
Starting from DFT lattice parameters and positions (PBE), the PXRD pattern of Dy3Ho5Tm3 was simulated for Cu Ka.

Peak list (10 most intense, 2θ = 15–90°, in order of rising 2θ)
2θ (°)  I_rel
24.7  372
28.1  834
30.9  955
32.6  322
33.9  1000
36.4  762
42.3  785
49.6  377
64.8  414
65.3  304

Structure:
```
data_Dy3Ho5Tm3
_chemical_formula_sum 'Dy3 Ho5 Tm3'
_cell_length_a 10.9944
_cell_length_b 10.9944
_cell_length_c 3.3989
_cell_angle_alpha 90.00
_cell_angle_beta 90.00
_cell_angle_gamma 120.00
_symmetry_space_group_name_H-M 'P -6 2 m'
_symmetry_Int_Tables_number 189
_symmetry_space_group_name_Hall 'P -6 -2'
loop_
_atom_site_label
_atom_site_type_symbol
_atom_site_fract_x
_atom_site_fract_y
_atom_site_fract_z
_atom_site_occupancy
Dy1 Dy 0.0000 0.6589 0.0000 1
Ho1 Ho 0.0000 0.1601 0.0000 1
Ho2 Ho 0.3333 0.6667 0.0000 1
Tm1 Tm 0.0000 0.4065 0.5000 1
```

Entry 12:
Starting from DFT lattice parameters and positions (PBE), the PXRD pattern of NaInSnF6 was simulated for Cu Ka.

Peak list (10 most intense, 2θ = 15–90°, in order of rising 2θ)
2θ (°)  I_rel
16.4  180
18.7  424
23.9  1000
29.1  151
30.1  727
34.0  154
46.1  748
48.9  200
56.8  176
58.5  255

Structure:
```
data_NaInSnF6
_chemical_formula_sum 'Na2 In2 Sn2 F12'
_cell_length_a 5.266
_cell_length_b 5.266
_cell_length_c 10.795
_cell_angle_alpha 90.00
_cell_angle_beta 90.00
_cell_angle_gamma 90.00
_symmetry_space_group_name_H-M 'P 42 n m'
_symmetry_Int_Tables_number 102
loop_
_symmetry_equiv_pos_as_xyz
'x,y,z'
'-y+1/2,x+1/2,z+1/2'
'-x,-y,z'
'y+1/2,-x+1/2,z+1/2'
'-x+1/2,y+1/2,z+1/2'
'y,x,z'
'x+1/2,-y+1/2,z+1/2'
'-y,-x,z'
loop_
_atom_site_label
_atom_site_type_symbol
_atom_site_fract_x
_atom_site_fract_y
_atom_site_fract_z
_atom_site_occupancy
Na1 Na 0.000 0.000 0.000 1
In1 In 0.000 0.000 0.666 1
Sn1 Sn 0.000 0.000 0.330 1
F1 F 0.183 0.183 0.816 1
F2 F 0.190 0.190 0.521 1
F3 F 0.213 0.213 0.167 1
```